This entry pairs a crystal structure of Pa2HBr6 with its theoretical PXRD pattern. Radiation: a wavelength of 1.5418 Å. Structure: DFT lattice parameters and positions (GGA-PBE).

Peak list (10 most intense, 10 to 90 degrees two-theta, sorted by position)
- (0 0 3), 12.92°, I = 72.7
- (1 0 1), 14.49°, I = 34.3
- (0 1 2), 16.31°, I = 33.6
- (0 1 5), 25.76°, I = 16.1
- (2 -1 3), 27.42°, I = 100.0
- (2 -1 6), 35.74°, I = 62.2
- (3 0 0), 42.35°, I = 37.4
- (0 3 3), 44.47°, I = 20.8
- (1 1 9), 46.76°, I = 24.3
- (2 2 3), 51.20°, I = 16.4

Structural model:
```
data_Pa2HBr6
_chemical_formula_sum 'Pa6 H3 Br18'
_cell_length_a 7.3925
_cell_length_b 7.3925
_cell_length_c 20.5514
_cell_angle_alpha 90.00
_cell_angle_beta 90.00
_cell_angle_gamma 120.00
_symmetry_space_group_name_H-M 'R 3'
_symmetry_Int_Tables_number 146
_symmetry_space_group_name_Hall 'R 3'
loop_
_atom_site_label
_atom_site_fract_x
_atom_site_fract_y
_atom_site_fract_z
Pa1 0.0000 0.0000 0.0000
Pa2 0.0000 0.0000 0.3563
H1 0.0000 0.0000 0.4540
Br1 0.0312 0.3393 0.7474
Br2 0.0361 0.6862 0.9289
```